Computed X-ray powder pattern
Compound: CaTiFeP3O12
Radiation: Cu Kα, 1.54184 Å
Structure: the PBE+U geometry in the Materials Project
Lines closer than 0.1° are merged.

Top 10 peaks for 2θ from 10° to 90°, sorted by position:
2θ (°)	intensity
20.50	57.2
23.87	100.0
28.83	15.2
31.82	14.8
32.03	66.4
35.91	25.5
46.04	17.7
48.87	23.9
56.18	17.4
62.11	14.0

Structure:
```
CaTiFeP3O12
1.0
4.3319 2.5010 7.3136
-4.3319 2.5010 7.3136
0.0000 -5.0021 7.3136
Ca Ti Fe P O
2 2 2 6 24
Direct
0.0000 0.0000 0.0000 Ca
0.5000 0.5000 0.5000 Ca
0.1497 0.1497 0.1497 Ti
0.6497 0.6497 0.6497 Ti
0.3544 0.3544 0.3544 Fe
0.8544 0.8544 0.8544 Fe
0.0438 0.7531 0.4620 P
0.2531 0.5438 0.9620 P
0.4620 0.0438 0.7531 P
0.5438 0.9620 0.2531 P
0.7531 0.4620 0.0438 P
0.9620 0.2531 0.5438 P
0.0008 0.2086 0.3745 O
0.0093 0.7990 0.6230 O
0.0605 0.9238 0.2740 O
0.0852 0.7290 0.9392 O
0.1230 0.2990 0.5093 O
0.2086 0.3745 0.0008 O
0.2290 0.5852 0.4392 O
0.2740 0.0605 0.9238 O
0.2990 0.5093 0.1230 O
0.3745 0.0008 0.2086 O
0.4238 0.5605 0.7740 O
0.4392 0.2290 0.5852 O
0.5008 0.8745 0.7086 O
0.5093 0.1230 0.2990 O
0.5605 0.7740 0.4238 O
0.5852 0.4392 0.2290 O
0.6230 0.0093 0.7990 O
0.7086 0.5008 0.8745 O
0.7290 0.9392 0.0852 O
0.7740 0.4238 0.5605 O
0.7990 0.6230 0.0093 O
0.8745 0.7086 0.5008 O
0.9238 0.2740 0.0605 O
0.9392 0.0852 0.7290 O
```